Starting from DFT lattice parameters and positions (GGA-PBE), the XRD peak list of Ca2Bi3O8 was computed for λ = 1.5418 Å (Cu Kα).
Peak positions follow from Bragg's law for the DFT cell and can differ from measured ones.

Largest 12 diffraction maxima, sorted by position, 15 to 90 degrees two-theta:
17.0°, I 34; 17.2°, I 89; 29.5°, I 21; 29.9°, I 19; 30.7°, I 100; 30.9°, I 24; 34.3°, I 26; 39.6°, I 48; 52.3°, I 28; 53.7°, I 29; 55.4°, I 30; 61.9°, I 15

Structural model:
Lattice parameters (Å, degrees): 7.0005 7.0005 10.3190 90.00 90.00 120.00
Space group P6_3mc (No. 186)
One atom of each set of equivalent atoms:
Ca 0.3333 0.6667 0.0000 (multiplicity 2)
Ca 0.3333 0.6667 0.3541 (multiplicity 2)
Bi 0.1665 0.3330 0.7136 (multiplicity 6)
O 0.0000 0.0000 0.3165 (multiplicity 2)
O 0.0472 0.5236 0.8390 (multiplicity 6)
O 0.1725 0.3450 0.1288 (multiplicity 6)
O 0.3333 0.6667 0.5913 (multiplicity 2)

=====

Starting from DFT lattice parameters and positions (GGA-PBE), the XRD peak list of CaAc2Si6 was computed for λ = 1.5418 Å (Cu Kα).
Peak positions follow from Bragg's law for the DFT cell and can differ from measured ones.

Largest 12 diffraction maxima, sorted by position, 15 to 90 degrees two-theta:
19.7°, I 14; 24.3°, I 19; 24.5°, I 45; 31.6°, I 100; 40.1°, I 12; 43.0°, I 37; 47.5°, I 16; 47.8°, I 10; 54.4°, I 22; 60.3°, I 21; 67.6°, I 11; 71.8°, I 19

Structural model:
Lattice parameters (Å, degrees): 7.2781 7.2781 4.4959 90.00 90.00 120.00
Space group P6/mmm (No. 191)
One atom of each set of equivalent atoms:
Ca 0.0000 0.0000 0.0000 (multiplicity 1)
Ac 0.3333 0.6667 0.0000 (multiplicity 2)
Si 0.0000 0.3315 0.5000 (multiplicity 6)

=====

Starting from DFT lattice parameters and positions (GGA-PBE), the XRD peak list of Zr3AlZn4 was computed for λ = 1.5418 Å (Cu Kα).
Peak positions follow from Bragg's law for the DFT cell and can differ from measured ones.

Largest 12 diffraction maxima, sorted by position, 15 to 90 degrees two-theta:
21.7°, I 12; 33.7°, I 20; 36.1°, I 64; 38.1°, I 48; 38.4°, I 100; 38.9°, I 35; 45.5°, I 31; 46.0°, I 28; 61.3°, I 13; 64.6°, I 20; 69.0°, I 13; 76.7°, I 26

Structural model:
Lattice parameters (Å, degrees): 2.933 5.393 18.915 90.00 90.00 90.00
Space group Immm (No. 71)
One atom of each set of equivalent atoms:
Zr 0.000 0.000 0.000 (multiplicity 2)
Zr 0.000 0.500 0.240 (multiplicity 4)
Al 0.000 0.000 0.500 (multiplicity 2)
Zn 0.000 0.254 0.379 (multiplicity 8)

=====

What did the first record say?
Starting from DFT lattice parameters and positions (GGA-PBE), the XRD peak list of Ca2Bi3O8 was computed for λ = 1.5418 Å (Cu Kα).
Peak positions follow from Bragg's law for the DFT cell and can differ from measured ones.

Largest 12 diffraction maxima, sorted by position, 15 to 90 degrees two-theta:
17.0°, I 34; 17.2°, I 89; 29.5°, I 21; 29.9°, I 19; 30.7°, I 100; 30.9°, I 24; 34.3°, I 26; 39.6°, I 48; 52.3°, I 28; 53.7°, I 29; 55.4°, I 30; 61.9°, I 15

Structural model:
Lattice parameters (Å, degrees): 7.0005 7.0005 10.3190 90.00 90.00 120.00
Space group P6_3mc (No. 186)
One atom of each set of equivalent atoms:
Ca 0.3333 0.6667 0.0000 (multiplicity 2)
Ca 0.3333 0.6667 0.3541 (multiplicity 2)
Bi 0.1665 0.3330 0.7136 (multiplicity 6)
O 0.0000 0.0000 0.3165 (multiplicity 2)
O 0.0472 0.5236 0.8390 (multiplicity 6)
O 0.1725 0.3450 0.1288 (multiplicity 6)
O 0.3333 0.6667 0.5913 (multiplicity 2)